(1)
Structure and simulated X-ray powder pattern of PuIn5Hg4 (the GGA-PBE geometry in Alexandria; copper Kα).
No peak broadening, texture or thermal motion is included.

```
data_PuIn5Hg4
_chemical_formula_sum 'Pu1 In5 Hg4'
_symmetry_space_group_name_H-M 'P -1'
_symmetry_Int_Tables_number 2
_symmetry_space_group_name_Hall '-P 1'
_cell_length_a 5.069
_cell_length_b 7.040
_cell_length_c 8.789
_cell_angle_alpha 113.24
_cell_angle_beta 106.61
_cell_angle_gamma 90.14
loop_
_atom_site_label
_atom_site_fract_x
_atom_site_fract_y
_atom_site_fract_z
Pu1 0.000 0.000 0.000
In1 0.000 0.500 0.000
In2 0.180 0.926 0.361
In3 0.342 0.823 0.684
Hg1 0.173 0.445 0.346
Hg2 0.488 0.267 0.976
```

The 12 most intense peaks (2θ = 10–90°), in order of rising 2θ:
2θ/deg, d/Å, intensity
11.53, 7.673, 20
13.87, 6.384, 14
24.55, 3.626, 14
24.66, 3.610, 22
35.09, 2.558, 48
35.42, 2.534, 53
35.60, 2.522, 100
35.75, 2.512, 91
50.71, 1.800, 34
51.96, 1.760, 14
63.18, 1.472, 16
63.71, 1.461, 28



(2)
Structure and simulated X-ray powder pattern of NaC2NO3 (the GGA-PBE geometry in Alexandria; copper Kα).
No peak broadening, texture or thermal motion is included.

```
data_NaC2NO3
_chemical_formula_sum 'Na4 C8 N4 O12'
_symmetry_space_group_name_H-M 'P 1 21/c 1'
_symmetry_Int_Tables_number 14
_symmetry_space_group_name_Hall '-P 2ybc'
_cell_length_a 3.548
_cell_length_b 5.227
_cell_length_c 22.833
_cell_angle_alpha 90.00
_cell_angle_beta 92.32
_cell_angle_gamma 90.00
loop_
_atom_site_label
_atom_site_fract_x
_atom_site_fract_y
_atom_site_fract_z
Na1 0.204 0.202 0.198
C1 0.358 0.188 0.334
C2 0.360 0.675 0.067
N1 0.460 0.579 0.114
O1 0.251 0.744 0.020
O2 0.280 0.025 0.294
O3 0.300 0.075 0.832
```

The 12 most intense peaks (2θ = 10–90°), in order of rising 2θ:
2θ/deg, d/Å, intensity
17.41, 5.095, 14
18.67, 4.752, 43
23.08, 3.854, 26
23.40, 3.802, 29
25.12, 3.546, 17
29.11, 3.068, 34
31.22, 2.865, 100
31.37, 2.852, 12
31.74, 2.819, 13
32.34, 2.768, 18
35.87, 2.503, 14
39.48, 2.283, 18